Diffraction record for AcPr12Hg6. The powder XRD pattern is simulated, not measured: it uses a crystal structure in Alexandria, relaxed with GGA-PBE and Cu Kα (weighted mean of Kα1 and Kα2).

Main lines, by angle (2θ = 10–90°):
2θ (°)	I (rel.)
24.8	54.8
27.0	56.3
27.1	100.0
30.5	42.1
32.4	37.8
32.5	39.1
33.1	92.0
35.2	67.9
39.8	70.6
48.6	31.3

a b c (Å): 14.3184 14.3184 11.1701
angles (deg): 90.00 90.00 120.00
Space group R-3m (No. 166, hexagonal axes)
One atom of each set of equivalent atoms:
Ac  0.0000  0.0000  0.0000 x3
Pr  0.0000  0.3818  0.5000 x18
Pr  0.0850  0.1700  0.3473 x18
Hg  0.0277  0.5138  0.2607 x18

Diffraction record for Dy2YTm2Th. The powder XRD pattern is simulated, not measured: it uses a crystal structure in Alexandria, relaxed with GGA-PBE and Cu Kα (weighted mean of Kα1 and Kα2).

Main lines, by angle (2θ = 10–90°):
2θ (°)	I (rel.)
28.5	45.7
30.6	91.1
30.8	100.0
31.1	78.7
32.2	54.7
33.7	38.7
35.4	22.9
37.6	59.7
54.7	23.1
64.0	22.4

a b c (Å): 6.4990 6.7094 8.8394
angles (deg): 90.00 97.75 90.00
Space group P2_1/m (No. 11)
One atom of each set of equivalent atoms:
Dy  0.0814  0.2500  0.0200 x2
Dy  0.1784  0.2500  0.6544 x2
Y  0.1932  0.7500  0.6683 x2
Tm  0.3150  0.5026  0.3390 x4
Th  0.4359  0.7500  0.0295 x2

Diffraction record for PaAl2RuO8. The powder XRD pattern is simulated, not measured: it uses a crystal structure in Alexandria, relaxed with GGA-PBE and Cu Kα (weighted mean of Kα1 and Kα2).

Main lines, by angle (2θ = 10–90°):
2θ (°)	I (rel.)
19.0	100.0
24.0	22.1
26.9	49.3
27.2	51.1
35.0	77.9
40.0	35.4
43.6	20.8
52.9	31.3
53.3	35.0
67.5	27.3

a b c (Å): 6.5614 6.6402 6.1315
angles (deg): 90.00 90.00 90.00
Space group Cmmm (No. 65)
One atom of each set of equivalent atoms:
Pa  0.0000  0.0000  0.0000 x2
Al  0.0000  0.5000  0.2557 x4
Ru  0.0000  0.0000  0.5000 x2
O  0.0000  0.2176  0.2720 x8
O  0.1788  0.5000  0.0000 x4
O  0.2047  0.5000  0.5000 x4

Diffraction record for Tb4ErIn. The powder XRD pattern is simulated, not measured: it uses a crystal structure in Alexandria, relaxed with GGA-PBE and Cu Kα (weighted mean of Kα1 and Kα2).

Main lines, by angle (2θ = 10–90°):
2θ (°)	I (rel.)
29.1	57.3
30.1	100.0
32.2	66.0
32.4	67.8
34.7	16.7
36.8	53.3
43.9	37.4
56.1	17.7
57.0	14.1
61.0	19.9

a b c (Å): 5.5625 20.9627 6.4338
angles (deg): 90.00 90.00 90.00
Space group Cmc2_1 (No. 36)
One atom of each set of equivalent atoms:
Tb  0.0000  0.0407  0.0000 x4
Tb  0.0000  0.1844  0.1686 x4
Tb  0.0000  0.2476  0.6954 x4
Tb  0.0000  0.4370  0.8224 x4
Er  0.0000  0.3635  0.3210 x4
In  0.0000  0.1040  0.5655 x4

Diffraction record for NaCu3F6. The powder XRD pattern is simulated, not measured: it uses a crystal structure in Alexandria, relaxed with GGA-PBE and Cu Kα (weighted mean of Kα1 and Kα2).

Main lines, by angle (2θ = 10–90°):
2θ (°)	I (rel.)
14.9	18.7
30.0	85.3
30.7	25.3
31.7	100.0
36.6	19.4
50.9	74.6
54.9	17.8
58.4	17.4
60.9	27.3
63.8	17.9

a b c (Å): 7.2228 10.5363 3.3449
angles (deg): 90.00 90.00 90.00
Space group Cmmm (No. 65)
One atom of each set of equivalent atoms:
Na  0.0000  0.0000  0.0000 x2
Cu  0.0000  0.5000  0.0000 x2
Cu  0.2500  0.2500  0.5000 x4
F  0.0000  0.1655  0.5000 x4
F  0.1928  0.3726  0.0000 x8

Diffraction record for Rb3Pu3TiS8. The powder XRD pattern is simulated, not measured: it uses a crystal structure in Alexandria, relaxed with GGA-PBE and Cu Kα (weighted mean of Kα1 and Kα2).

Main lines, by angle (2θ = 10–90°):
2θ (°)	I (rel.)
11.3	76.6
14.9	23.8
22.8	29.7
26.2	18.5
27.0	48.5
30.1	100.0
40.5	36.8
45.7	32.8
46.9	18.6
51.6	22.2

a b c (Å): 7.9453 7.9453 23.4091
angles (deg): 90.00 90.00 120.00
Space group R-3m (No. 166, hexagonal axes)
One atom of each set of equivalent atoms:
Rb  0.0000  0.5000  0.0000 x9
Pu  0.0000  0.5000  0.5000 x9
Ti  0.0000  0.0000  0.5000 x3
S  0.0000  0.0000  0.2306 x6
S  0.0250  0.5125  0.2260 x18

Diffraction record for Ac3TeOs. The powder XRD pattern is simulated, not measured: it uses a crystal structure in Alexandria, relaxed with GGA-PBE and Cu Kα (weighted mean of Kα1 and Kα2).

Main lines, by angle (2θ = 10–90°):
2θ (°)	I (rel.)
10.7	25.5
14.0	22.4
28.0	20.4
28.8	100.0
30.1	38.8
35.1	28.7
38.5	21.1
42.8	21.6
48.9	14.8
50.1	22.4

a b c (Å): 6.3722 16.5349 6.8680
angles (deg): 90.00 90.00 90.00
Space group Imma (No. 74)
One atom of each set of equivalent atoms:
Ac  0.0000  0.1150  0.0752 x8
Ac  0.0000  0.2500  0.5933 x4
Te  0.0000  0.0000  0.5000 x4
Os  0.2500  0.2500  0.2500 x4

Diffraction record for ZnCuSe2. The powder XRD pattern is simulated, not measured: it uses a crystal structure in Alexandria, relaxed with GGA-PBE and Cu Kα (weighted mean of Kα1 and Kα2).

Main lines, by angle (2θ = 10–90°):
2θ (°)	I (rel.)
23.8	43.7
27.4	100.0
32.6	58.1
34.9	27.2
45.3	47.4
45.4	14.8
45.9	33.7
47.3	18.4
47.8	20.8
52.3	23.3

a b c (Å): 11.1718 11.1930 11.4471
angles (deg): 90.00 90.18 90.00
Space group C2/c (No. 15)
One atom of each set of equivalent atoms:
Zn  0.1125  0.1187  0.3781 x8
Zn  0.1389  0.3613  0.1556 x8
Cu  0.1162  0.1124  0.6042 x8
Cu  0.1351  0.3698  0.8500 x8
Se  0.0000  0.0086  0.7500 x4
Se  0.0000  0.5004  0.2500 x4
Se  0.0567  0.2180  0.9928 x8
Se  0.2176  0.0564  0.0066 x8
Se  0.2401  0.2514  0.7049 x8